(1)
Theoretical powder diffractogram
Compound: CaCu2S2
Radiation: Cu Kα (weighted mean of Kα1 and Kα2)
Structure: the PBE geometry in Alexandria
Peak positions follow from Bragg's law for the DFT cell and can differ from measured ones.

Cell and atoms:
```
data_CaCu2S2
_chemical_formula_sum 'Ca4 Cu8 S8'
_cell_length_a 5.823
_cell_length_b 5.823
_cell_length_c 11.820
_cell_angle_alpha 90.00
_cell_angle_beta 90.00
_cell_angle_gamma 90.00
_space_group_name_H-M_alt 'I 41/a m d'
_space_group_IT_number 141
loop_
_space_group_symop_operation_xyz
'x,y,z'
'-x,-y,-z'
'-y+1/4,x+3/4,z+1/4'
'y+1/4,-x+3/4,-z+1/4'
'-x+1/2,-y,z+1/2'
'x+1/2,y,-z+1/2'
'y+1/4,-x+1/4,z+3/4'
'-y+1/4,x+1/4,-z+3/4'
'x,-y,-z'
'-x,y,z'
'-y+1/4,-x+1/4,-z+3/4'
'y+1/4,x+1/4,z+3/4'
'-x+1/2,y,-z+1/2'
'x+1/2,-y,z+1/2'
'y+1/4,x+3/4,-z+1/4'
'-y+1/4,-x+3/4,z+1/4'
'x+1/2,y+1/2,z+1/2'
'-x+1/2,-y+1/2,-z+1/2'
'-y+3/4,x+1/4,z+3/4'
'y+3/4,-x+1/4,-z+3/4'
'-x,-y+1/2,z'
'x,y+1/2,-z'
'y+3/4,-x+3/4,z+1/4'
'-y+3/4,x+3/4,-z+1/4'
'x+1/2,-y+1/2,-z+1/2'
'-x+1/2,y+1/2,z+1/2'
'-y+3/4,-x+3/4,-z+1/4'
'y+3/4,x+3/4,z+1/4'
'-x,y+1/2,-z'
'x,-y+1/2,z'
'y+3/4,x+1/4,-z+3/4'
'-y+3/4,-x+1/4,z+3/4'
loop_
_atom_site_label
_atom_site_type_symbol
_atom_site_fract_x
_atom_site_fract_y
_atom_site_fract_z
Ca1 Ca 0.000 0.250 0.375
Cu1 Cu 0.000 0.000 0.000
S1 S 0.000 0.250 0.135
```

Most intense lines, 10° ≤ 2θ ≤ 90°, by angle:
- 27.3°, rel. 77.6
- 30.7°, rel. 42.2
- 34.3°, rel. 99.6
- 35.3°, rel. 100.0
- 41.2°, rel. 39.2
- 54.3°, rel. 75.3

***

(2)
Theoretical powder diffractogram
Compound: VMoPt
Radiation: Cu Kα (weighted mean of Kα1 and Kα2)
Structure: the PBE geometry in Alexandria
Peak positions follow from Bragg's law for the DFT cell and can differ from measured ones.

Cell and atoms:
```
data_VMoPt
_chemical_formula_sum 'V2 Mo2 Pt2'
_cell_length_a 2.692
_cell_length_b 2.692
_cell_length_c 12.381
_cell_angle_alpha 90.00
_cell_angle_beta 90.00
_cell_angle_gamma 90.00
_space_group_name_H-M_alt 'I 4 m m'
_space_group_IT_number 107
_space_group_name_Hall 'I 4 -2'
loop_
_atom_site_label
_atom_site_type_symbol
_atom_site_fract_x
_atom_site_fract_y
_atom_site_fract_z
V1 V 0.000 0.000 0.000
Mo1 Mo 0.000 0.000 0.672
Pt1 Pt 0.000 0.000 0.344
```

Most intense lines, 10° ≤ 2θ ≤ 90°, by angle:
- 14.3°, rel. 38.5
- 34.1°, rel. 21.2
- 40.0°, rel. 100.0
- 47.8°, rel. 29.9
- 66.9°, rel. 21.1
- 83.7°, rel. 23.4

***

(3)
Theoretical powder diffractogram
Compound: PuZnSnGe
Radiation: Cu Kα (weighted mean of Kα1 and Kα2)
Structure: the PBE geometry in Alexandria
Peak positions follow from Bragg's law for the DFT cell and can differ from measured ones.

Cell and atoms:
```
data_PuZnSnGe
_chemical_formula_sum 'Pu1 Zn1 Sn1 Ge1'
_cell_length_a 4.273
_cell_length_b 4.276
_cell_length_c 4.644
_cell_angle_alpha 90.00
_cell_angle_beta 90.00
_cell_angle_gamma 90.00
_space_group_name_H-M_alt 'P m m m'
_space_group_IT_number 47
_space_group_name_Hall '-P 2 2'
loop_
_atom_site_label
_atom_site_type_symbol
_atom_site_fract_x
_atom_site_fract_y
_atom_site_fract_z
Pu1 Pu 0.000 0.000 0.000
Zn1 Zn 0.500 0.000 0.500
Sn1 Sn 0.000 0.500 0.500
Ge1 Ge 0.500 0.500 0.000
```

Most intense lines, 10° ≤ 2θ ≤ 90°, by angle:
- 20.8°, rel. 19.9
- 35.4°, rel. 100.0
- 38.8°, rel. 19.6
- 42.3°, rel. 30.8
- 58.7°, rel. 23.6
- 72.9°, rel. 25.1